Diffraction record for UCuI5. The PXRD pattern is calculated, not measured: it uses the GGA-PBE geometry in Alexandria and Cu Kα X-rays.

Most intense lines, 10 to 90 degrees two-theta, in order of rising 2θ:
| hkl | d_spacing | intensity |
| --- | --- | --- |
| 1 1 -1 | 7.354 | 50 |
| 0 2 0 | 5.493 | 26 |
| 1 1 1 | 5.201 | 100 |
| 2 0 -2 | 4.949 | 54 |
| 1 1 2 | 3.624 | 25 |
| 3 1 -3 | 3.160 | 42 |
| 1 3 1 | 3.112 | 30 |
| 2 0 2 | 2.952 | 33 |
| 2 2 2 | 2.601 | 29 |
| 2 4 -4 | 1.975 | 34 |

Structural model:
```
data_UCuI5
_chemical_formula_sum 'U4 Cu4 I20'
_symmetry_space_group_name_H-M 'C 1 2/c 1'
_symmetry_Int_Tables_number 15
_symmetry_space_group_name_Hall '-C 2yc'
_cell_length_a 11.6836
_cell_length_b 10.9857
_cell_length_c 11.3766
_cell_angle_alpha 90.00
_cell_angle_beta 118.37
_cell_angle_gamma 90.00
loop_
_atom_site_label
_atom_site_type_symbol
_atom_site_fract_x
_atom_site_fract_y
_atom_site_fract_z
U1 U 0.2500 0.2500 0.0000
Cu1 Cu 0.0000 0.1315 0.2500
I1 I 0.0000 0.3330 0.7500
I2 I 0.1186 0.2888 0.1678
I3 I 0.1655 0.0106 0.4576
```